This entry pairs a crystal structure of ErH3 with its calculated X-ray powder pattern. Radiation: CuKα. Structure: a DFT-relaxed cell (GGA-PBE, the Materials Project).
Intensities are scaled so that the largest is 100.

Cell and atoms:
a = 3.552 Å, b = 3.552 Å, c = 6.020 Å
α = 90.00°, β = 90.00°, γ = 120.00°
Element x y z (fractional)
Er1 0.333 0.667 0.250
Er2 0.667 0.333 0.750
H1 0.000 0.000 0.000
H2 0.000 0.000 0.500
H3 0.333 0.667 0.597
H4 0.333 0.667 0.903
H5 0.667 0.333 0.097
H6 0.667 0.333 0.403

Main lines, in order of falling intensity (2θ = 10–80°):
- 2θ = 32.7°, d 2.739, rel. 100, (1 0 1)
- 2θ = 29.7°, d 3.010, rel. 28, (0 0 2)
- 2θ = 54.6°, d 1.681, rel. 25, (1 0 3)
- 2θ = 29.0°, d 3.076, rel. 23, (1 0 0)
- 2θ = 60.5°, d 1.530, rel. 23, (1 1 2)
- 2θ = 51.5°, d 1.776, rel. 20, (1 1 0)
- 2θ = 42.0°, d 2.151, rel. 18, (1 0 2)
- 2θ = 62.3°, d 1.490, rel. 16, (2 0 1)
- 2θ = 78.3°, d 1.221, rel. 9, (2 0 3)
- 2θ = 68.5°, d 1.370, rel. 4, (2 0 2)